For LiMnVP2H2O10, a cell relaxed with PBE+U gives the calculated powder X-ray diffraction pattern in this record (Cu Kα (weighted mean of Kα1 and Kα2)).
Kinematic intensities with the Lorentz-polarization factor, no thermal factor.

Structural model:
abc: 5.244 7.352 10.125
angles: 103.32 99.32 103.93
Element x y z (fractional)
Li 0.146 0.371 0.221
Li 0.854 0.629 0.779
Mn 0.000 0.000 0.000
Mn 0.500 0.500 0.500
V 0.248 0.243 0.750
V 0.752 0.757 0.250
P 0.118 0.788 0.562
P 0.388 0.705 0.937
P 0.612 0.295 0.063
P 0.882 0.212 0.438
H 0.171 0.821 0.153
H 0.350 0.705 0.358
H 0.650 0.295 0.642
H 0.829 0.179 0.847
O 0.019 0.879 0.155
O 0.064 0.780 0.405
O 0.140 0.277 0.388
O 0.207 0.836 0.909
O 0.211 0.495 0.846
O 0.277 0.004 0.650
O 0.301 0.659 0.589
O 0.346 0.240 0.106
O 0.435 0.715 0.096
O 0.468 0.619 0.337
O 0.532 0.381 0.663
O 0.565 0.285 0.904
O 0.654 0.760 0.894
O 0.699 0.341 0.411
O 0.723 0.996 0.350
O 0.789 0.505 0.154
O 0.793 0.164 0.091
O 0.860 0.723 0.612
O 0.936 0.220 0.595
O 0.981 0.121 0.845

Peak list (10 most intense, 10 to 90 degrees two-theta, low angle first)
| hkl | two_theta | intensity |
| --- | --- | --- |
| 0 1 1 | 17.9 | 49.6 |
| 1 0 -1 | 18.2 | 47.6 |
| 1 -1 0 | 18.8 | 58.1 |
| 1 0 1 | 22.0 | 32.0 |
| 1 1 0 | 25.1 | 39.3 |
| 1 1 -2 | 26.2 | 74.3 |
| 0 1 -3 | 27.3 | 100.0 |
| -1 2 1 | 29.7 | 77.5 |
| 1 2 -1 | 34.1 | 33.6 |
| 1 1 2 | 35.8 | 37.3 |

=====

For LiMnVP2H2O10, a cell relaxed with PBE+U gives the calculated powder X-ray diffraction pattern in this record (Cu Kα (weighted mean of Kα1 and Kα2)).
Kinematic intensities with the Lorentz-polarization factor, no thermal factor.

Structural model:
abc: 6.794 7.444 11.321
angles: 81.35 73.05 88.86
Element x y z (fractional)
Li 0.000 0.000 0.000
Li 0.174 0.944 0.349
Li 0.507 0.608 0.682
Mn 0.253 0.305 0.841
Mn 0.587 0.972 0.175
Mn 0.924 0.634 0.506
V 0.084 0.970 0.677
V 0.425 0.640 0.008
V 0.751 0.304 0.343
P 0.203 0.233 0.144
P 0.303 0.378 0.541
P 0.536 0.898 0.479
P 0.636 0.046 0.872
P 0.870 0.564 0.810
P 0.971 0.710 0.204
H 0.211 0.635 0.859
H 0.296 0.974 0.826
H 0.570 0.303 0.177
H 0.603 0.639 0.174
H 0.880 0.966 0.524
H 0.942 0.304 0.505
O 0.019 0.732 0.791
O 0.030 0.226 0.271
O 0.061 0.722 0.311
O 0.114 0.224 0.036
O 0.143 0.713 0.077
O 0.157 0.207 0.563
O 0.178 0.049 0.814
O 0.181 0.551 0.524
O 0.322 0.056 0.167
O 0.330 0.561 0.869
O 0.351 0.400 0.120
O 0.363 0.893 0.608
O 0.394 0.383 0.648
O 0.441 0.902 0.373
O 0.479 0.374 0.416
O 0.487 0.878 0.893
O 0.514 0.219 0.857
O 0.515 0.726 0.139
O 0.655 0.722 0.500
O 0.659 0.215 0.211
O 0.688 0.063 0.457
O 0.694 0.565 0.935
O 0.732 0.041 0.978
O 0.776 0.573 0.703
O 0.812 0.041 0.746
O 0.823 0.542 0.229
O 0.852 0.391 0.472
O 0.853 0.886 0.180
O 0.994 0.390 0.824
O 0.998 0.890 0.535

Peak list (10 most intense, 10 to 90 degrees two-theta, low angle first)
| hkl | two_theta | intensity |
| --- | --- | --- |
| 1 0 -1 | 17.9 | 48.5 |
| 1 0 2 | 18.1 | 44.4 |
| 1 -1 1 | 18.9 | 53.8 |
| 0 1 -2 | 22.0 | 30.1 |
| 0 0 3 | 25.0 | 37.0 |
| 1 1 3 | 26.0 | 100.0 |
| 0 2 -1 | 26.8 | 27.8 |
| 1 2 1 | 27.1 | 96.7 |
| 2 -1 0 | 29.8 | 73.0 |
| 1 1 -3 | 35.7 | 34.3 |

=====

For LiMnVP2H2O10, a cell relaxed with PBE+U gives the calculated powder X-ray diffraction pattern in this record (Cu Kα (weighted mean of Kα1 and Kα2)).
Kinematic intensities with the Lorentz-polarization factor, no thermal factor.

Structural model:
abc: 5.222 7.388 10.510
angles: 105.98 94.58 110.33
Element x y z (fractional)
Li 0.069 0.144 0.295
Li 0.931 0.856 0.705
Mn 0.000 0.000 0.000
Mn 0.500 0.500 0.500
V 0.000 0.500 0.000
V 0.500 0.000 0.500
P 0.005 0.454 0.679
P 0.496 0.946 0.179
P 0.504 0.054 0.821
P 0.995 0.546 0.321
H 0.172 0.183 0.531
H 0.332 0.317 0.982
H 0.668 0.683 0.018
H 0.828 0.817 0.469
O 0.108 0.478 0.828
O 0.133 0.781 0.403
O 0.153 0.292 0.015
O 0.197 0.441 0.330
O 0.243 0.944 0.872
O 0.262 0.551 0.621
O 0.280 0.040 0.176
O 0.321 0.193 0.477
O 0.377 0.714 0.095
O 0.380 0.022 0.671
O 0.620 0.978 0.329
O 0.623 0.286 0.905
O 0.679 0.807 0.523
O 0.720 0.960 0.824
O 0.738 0.449 0.379
O 0.757 0.056 0.128
O 0.803 0.559 0.670
O 0.847 0.708 0.985
O 0.867 0.219 0.597
O 0.892 0.522 0.172

Peak list (10 most intense, 10 to 90 degrees two-theta, low angle first)
| hkl | two_theta | intensity |
| --- | --- | --- |
| 0 0 2 | 17.9 | 46.1 |
| 1 -1 0 | 18.2 | 46.7 |
| 1 0 -1 | 18.9 | 57.4 |
| 1 0 1 | 22.1 | 32.0 |
| 1 -1 2 | 25.1 | 37.4 |
| 0 1 -3 | 26.0 | 31.0 |
| 1 -2 1 | 26.1 | 73.6 |
| 0 2 0 | 27.2 | 100.0 |
| 1 0 -3 | 29.7 | 74.9 |
| 1 0 3 | 35.9 | 38.5 |

=====

For Li2MnVP2H2O10, a cell relaxed with PBE+U gives the calculated powder X-ray diffraction pattern in this record (Cu Kα (weighted mean of Kα1 and Kα2)).
Kinematic intensities with the Lorentz-polarization factor, no thermal factor.

Structural model:
abc: 5.502 10.142 10.154
angles: 80.04 83.18 80.41
Element x y z (fractional)
Li 0.038 0.359 0.030
Li 0.300 0.312 0.631
Li 0.366 0.024 0.697
Li 0.634 0.976 0.303
Li 0.700 0.688 0.369
Li 0.962 0.641 0.970
Mn 0.337 0.664 0.665
Mn 0.500 0.500 0.000
Mn 0.663 0.336 0.335
V 0.000 0.000 0.000
V 0.164 0.833 0.336
V 0.836 0.167 0.664
P 0.094 0.531 0.266
P 0.230 0.136 0.401
P 0.448 0.197 0.930
P 0.552 0.803 0.070
P 0.770 0.864 0.599
P 0.906 0.469 0.734
H 0.005 0.932 0.771
H 0.331 0.597 0.440
H 0.336 0.730 0.894
H 0.664 0.270 0.106
H 0.669 0.403 0.560
H 0.995 0.068 0.229
O 0.018 0.198 0.314
O 0.021 0.021 0.797
O 0.049 0.689 0.259
O 0.141 0.499 0.121
O 0.161 0.508 0.667
O 0.172 0.168 0.548
O 0.200 0.153 0.994
O 0.278 0.979 0.409
O 0.307 0.469 0.352
O 0.314 0.641 0.869
O 0.332 0.865 0.987
O 0.356 0.686 0.465
O 0.400 0.354 0.924
O 0.485 0.178 0.339
O 0.500 0.166 0.783
O 0.500 0.834 0.217
O 0.515 0.822 0.661
O 0.600 0.646 0.076
O 0.644 0.314 0.535
O 0.668 0.135 0.013
O 0.686 0.359 0.131
O 0.693 0.531 0.648
O 0.722 0.021 0.591
O 0.800 0.847 0.006
O 0.828 0.832 0.452
O 0.839 0.492 0.333
O 0.859 0.501 0.879
O 0.951 0.311 0.741
O 0.979 0.979 0.203
O 0.982 0.802 0.686

Peak list (10 most intense, 10 to 90 degrees two-theta, low angle first)
| hkl | two_theta | intensity |
| --- | --- | --- |
| 1 1 0 | 17.5 | 33.6 |
| 0 1 2 | 18.7 | 35.2 |
| 0 2 1 | 18.8 | 42.4 |
| -1 1 1 | 21.9 | 32.4 |
| 1 0 -2 | 25.4 | 32.3 |
| 1 -2 0 | 26.2 | 31.3 |
| 1 -1 2 | 26.7 | 100.0 |
| 0 0 3 | 26.9 | 73.7 |
| 1 3 1 | 29.2 | 84.9 |
| 2 0 -1 | 35.2 | 58.1 |

=====

For Li2MnVP2H2O10, a cell relaxed with PBE+U gives the calculated powder X-ray diffraction pattern in this record (Cu Kα (weighted mean of Kα1 and Kα2)).
Kinematic intensities with the Lorentz-polarization factor, no thermal factor.

Structural model:
abc: 5.473 7.321 14.336
angles: 94.16 93.57 106.68
Element x y z (fractional)
Li 0.019 0.087 0.416
Li 0.312 0.241 0.918
Li 0.351 0.427 0.749
Li 0.649 0.573 0.251
Li 0.688 0.759 0.082
Li 0.981 0.913 0.584
Mn 0.167 0.166 0.167
Mn 0.500 0.000 0.500
Mn 0.833 0.834 0.833
V 0.169 0.667 0.167
V 0.500 0.500 0.500
V 0.831 0.333 0.833
P 0.028 0.657 0.393
P 0.309 0.675 0.942
P 0.357 0.992 0.724
P 0.643 0.008 0.276
P 0.691 0.325 0.058
P 0.972 0.343 0.607
H 0.111 0.887 0.046
H 0.224 0.444 0.286
H 0.446 0.213 0.380
H 0.554 0.787 0.620
H 0.776 0.556 0.714
H 0.889 0.113 0.954
O 0.035 0.714 0.290
O 0.067 0.894 0.733
O 0.069 0.891 0.113
O 0.107 0.839 0.463
O 0.146 0.812 0.930
O 0.204 0.528 0.409
O 0.209 0.491 0.871
O 0.260 0.453 0.602
O 0.267 0.442 0.220
O 0.305 0.613 0.043
O 0.361 0.055 0.623
O 0.398 0.214 0.447
O 0.401 0.227 0.066
O 0.455 0.176 0.796
O 0.480 0.145 0.263
O 0.520 0.855 0.737
O 0.545 0.824 0.204
O 0.599 0.773 0.934
O 0.602 0.786 0.553
O 0.639 0.945 0.377
O 0.695 0.387 0.957
O 0.733 0.558 0.780
O 0.740 0.547 0.398
O 0.791 0.509 0.129
O 0.796 0.472 0.591
O 0.854 0.188 0.070
O 0.893 0.161 0.537
O 0.931 0.109 0.887
O 0.933 0.106 0.267
O 0.965 0.286 0.710

Peak list (10 most intense, 10 to 90 degrees two-theta, low angle first)
| hkl | two_theta | intensity |
| --- | --- | --- |
| 1 0 -1 | 17.6 | 31.6 |
| 0 0 3 | 18.7 | 81.5 |
| 1 0 2 | 22.0 | 31.0 |
| 1 1 1 | 25.6 | 31.4 |
| 1 1 -2 | 25.9 | 33.5 |
| 1 -1 3 | 26.3 | 30.8 |
| 1 -2 1 | 26.8 | 100.0 |
| 0 2 1 | 26.9 | 73.1 |
| 1 0 -4 | 29.1 | 84.6 |
| 2 0 1 | 35.5 | 44.3 |

=====

For Li2MnVP2H2O10, a cell relaxed with PBE+U gives the calculated powder X-ray diffraction pattern in this record (Cu Kα (weighted mean of Kα1 and Kα2)).
Kinematic intensities with the Lorentz-polarization factor, no thermal factor.

Structural model:
abc: 5.418 7.369 14.302
angles: 92.80 94.52 105.43
Element x y z (fractional)
Li 0.000 0.000 0.000
Li 0.033 0.179 0.832
Li 0.332 0.329 0.334
Li 0.370 0.516 0.165
Li 0.666 0.666 0.666
Li 0.699 0.845 0.499
Mn 0.182 0.756 0.583
Mn 0.516 0.589 0.916
Mn 0.517 0.089 0.916
V 0.183 0.256 0.583
V 0.850 0.923 0.249
V 0.851 0.423 0.249
P 0.040 0.747 0.810
P 0.318 0.761 0.357
P 0.381 0.085 0.142
P 0.657 0.095 0.690
P 0.709 0.417 0.475
P 0.992 0.431 0.022
H 0.127 0.972 0.464
H 0.240 0.540 0.702
H 0.458 0.299 0.796
H 0.575 0.879 0.036
H 0.786 0.640 0.127
H 0.912 0.205 0.371
O 0.044 0.805 0.707
O 0.079 0.972 0.530
O 0.094 0.981 0.149
O 0.123 0.924 0.880
O 0.145 0.895 0.342
O 0.217 0.614 0.824
O 0.227 0.581 0.287
O 0.283 0.539 0.017
O 0.287 0.540 0.636
O 0.314 0.700 0.460
O 0.385 0.145 0.039
O 0.410 0.297 0.862
O 0.422 0.307 0.481
O 0.473 0.265 0.212
O 0.479 0.226 0.673
O 0.553 0.951 0.158
O 0.576 0.917 0.620
O 0.606 0.865 0.350
O 0.623 0.881 0.970
O 0.651 0.036 0.792
O 0.714 0.474 0.373
O 0.748 0.643 0.194
O 0.749 0.640 0.816
O 0.790 0.595 0.544
O 0.815 0.564 0.007
O 0.888 0.285 0.492
O 0.910 0.254 0.953
O 0.944 0.205 0.684
O 0.952 0.203 0.304
O 0.988 0.374 0.125

Peak list (10 most intense, 10 to 90 degrees two-theta, low angle first)
| hkl | two_theta | intensity |
| --- | --- | --- |
| 1 0 -1 | 17.6 | 32.4 |
| 0 1 2 | 18.3 | 50.7 |
| 0 0 3 | 18.7 | 50.1 |
| 1 1 1 | 25.3 | 34.5 |
| 1 1 -2 | 25.7 | 33.9 |
| 0 2 1 | 26.4 | 78.3 |
| 1 -2 1 | 27.0 | 100.0 |
| 1 0 -4 | 29.0 | 86.1 |
| 2 0 1 | 35.7 | 43.0 |
| 3 0 -3 | 54.6 | 33.6 |